PuMg4Au5: computed powder diffractogram (a wavelength of 1.5418 Å), based on a structure optimized by DFT (PBE).
Peak positions follow from Bragg's law for the DFT cell and can differ from measured ones.

Main lines, low angle first (5 to 70 degrees two-theta):
2θ = 5.1°, I = 26, (0 0 1); 2θ = 25.5°, I = 13, (0 0 5); 2θ = 27.0°, I = 35, (1 0 0); 2θ = 34.0°, I = 17, (1 0 4); 2θ = 37.4°, I = 100, (1 0 5); 2θ = 38.5°, I = 58, (1 1 0); 2θ = 55.6°, I = 20, (2 0 0); 2θ = 65.1°, I = 17, (1 0 11); 2θ = 66.8°, I = 14, (1 1 10); 2θ = 69.0°, I = 34, (2 1 5)

Cell and atoms:
```
PuMg4Au5
1.0
3.3067 0.0000 0.0000
0.0000 3.3067 0.0000
0.0000 0.0000 17.4748
Pu Mg Au
1 4 5
direct
0.0000 0.0000 0.0000
0.0000 0.0000 0.2168
0.0000 0.0000 0.4060
0.0000 0.0000 0.5940
0.0000 0.0000 0.7832
0.5000 0.5000 0.1241
0.5000 0.5000 0.3119
0.5000 0.5000 0.5000
0.5000 0.5000 0.6881
0.5000 0.5000 0.8759
```


PuMg2Au3: computed powder diffractogram (a wavelength of 1.5418 Å), based on a structure optimized by DFT (PBE).
Peak positions follow from Bragg's law for the DFT cell and can differ from measured ones.

Main lines, low angle first (5 to 70 degrees two-theta):
2θ = 8.2°, I = 19, (0 0 1); 2θ = 26.8°, I = 17, (1 0 0); 2θ = 28.1°, I = 24, (1 0 1); 2θ = 31.6°, I = 26, (1 0 2); 2θ = 36.8°, I = 100, (1 0 3); 2θ = 38.3°, I = 54, (1 1 0); 2θ = 51.6°, I = 15, (1 1 4); 2θ = 55.2°, I = 19, (2 0 0); 2θ = 67.0°, I = 13, (1 0 7); 2θ = 68.3°, I = 34, (2 1 3)

Cell and atoms:
```
PuMg2Au3
1.0
3.3261 0.0000 0.0000
0.0000 3.3261 0.0000
0.0000 0.0000 10.7659
Pu Mg Au
1 2 3
direct
0.0000 0.0000 0.0000
0.0000 0.0000 0.3480
0.0000 0.0000 0.6520
0.5000 0.5000 0.1991
0.5000 0.5000 0.5000
0.5000 0.5000 0.8009
```